# RbTh2Se6
Calculated powder X-ray diffraction pattern, Cu Kα, 1.54184 Å. Input: a crystal structure in the Materials Project, relaxed with GGA-PBE.
Neutral-atom scattering factors, no anomalous dispersion.

Structure:
Cell lengths 12.0645, 12.0645, 12.0645 Å; angles 159.64, 153.22, 33.87 degrees
Fractional coordinates of all 9 atoms:
Rb: 0.0000 0.0000 0.0000
Th: 0.3197 0.8197 0.5000
Th: 0.6803 0.1803 0.5000
Se: 0.1448 0.3908 0.7540
Se: 0.2290 0.2290 0.0000
Se: 0.3632 0.6092 0.7540
Se: 0.6368 0.3908 0.2460
Se: 0.7710 0.7710 0.0000
Se: 0.8552 0.6092 0.2460

Largest 10 diffraction maxima, by angle, 5 to 70 degrees two-theta:
| two_theta | I (rel.) |
| --- | --- |
| 7.66 | 100 |
| 19.63 | 66 |
| 28.49 | 95 |
| 30.58 | 19 |
| 35.29 | 26 |
| 38.69 | 51 |
| 39.88 | 16 |
| 40.33 | 32 |
| 41.08 | 42 |
| 42.39 | 23 |